No. 1
Starting from a structure optimized by DFT (GGA-PBE), the X-ray powder pattern of Pm6Pr2In was calculated for Cu Kα (weighted mean of Kα1 and Kα2).
Peak positions follow from Bragg's law for the DFT cell and can differ from measured ones.

Crystal structure
```
data_Pm6Pr2In
_chemical_formula_sum 'Pm12 Pr4 In2'
_cell_length_a 17.209
_cell_length_b 9.925
_cell_length_c 3.471
_cell_angle_alpha 90.00
_cell_angle_beta 90.01
_cell_angle_gamma 90.00
_space_group_name_H-M_alt 'C 1 2/m 1'
_space_group_IT_number 12
loop_
_space_group_symop_operation_xyz
'x,y,z'
'-x,-y,-z'
'-x,y,-z'
'x,-y,z'
'x+1/2,y+1/2,z'
'-x+1/2,-y+1/2,-z'
'-x+1/2,y+1/2,-z'
'x+1/2,-y+1/2,z'
loop_
_atom_site_label
_atom_site_type_symbol
_atom_site_fract_x
_atom_site_fract_y
_atom_site_fract_z
Pm1 Pm 0.000 0.177 0.000
Pm2 Pm 0.162 0.338 0.997
Pr1 Pr 0.167 0.000 0.500
In1 In 0.000 0.500 0.500
```

Main lines, most intense first (2θ = 10–90°):
31.2 deg, d 2.867, intensity 100, hkl 6 0 0; 31.4 deg, d 2.845, intensity 85, hkl 0 2 1; 55.7 deg, d 1.651, intensity 33, hkl 3 5 1; 44.9 deg, d 2.019, intensity 32, hkl 6 2 -1; 62.6 deg, d 1.484, intensity 27, hkl 6 0 -2; 55.5 deg, d 1.655, intensity 19, hkl 9 3 0; 74.1 deg, d 1.280, intensity 14, hkl 9 5 -1; 40.8 deg, d 2.210, intensity 13, hkl 6 0 -1; 80.1 deg, d 1.198, intensity 13, hkl 9 3 -2; 65.1 deg, d 1.433, intensity 12, hkl 12 0 0

No. 2
Starting from a structure optimized by DFT (GGA-PBE), the X-ray powder pattern of Tm3TeP2 was calculated for Cu Kα (weighted mean of Kα1 and Kα2).
Peak positions follow from Bragg's law for the DFT cell and can differ from measured ones.

Crystal structure
```
data_Tm3TeP2
_chemical_formula_sum 'Tm12 Te4 P8'
_cell_length_a 7.169
_cell_length_b 11.281
_cell_length_c 8.112
_cell_angle_alpha 90.00
_cell_angle_beta 90.00
_cell_angle_gamma 90.00
_space_group_name_H-M_alt 'I m m a'
_space_group_IT_number 74
_space_group_name_Hall '-I 2b 2'
loop_
_atom_site_label
_atom_site_type_symbol
_atom_site_fract_x
_atom_site_fract_y
_atom_site_fract_z
Tm1 Tm 0.232 0.000 0.000
Tm2 Tm 0.250 0.250 0.250
Te1 Te 0.000 0.250 0.914
P1 P 0.000 0.063 0.284
```

Main lines, most intense first (2θ = 10–90°):
37.1 deg, d 2.425, intensity 100, hkl 2 2 2; 27.1 deg, d 3.293, intensity 53, hkl 0 2 2; 31.7 deg, d 2.820, intensity 42, hkl 0 4 0; 13.4 deg, d 6.586, intensity 28, hkl 0 1 1; 28.3 deg, d 3.148, intensity 25, hkl 2 1 1; 36.4 deg, d 2.471, intensity 25, hkl 2 3 1; 62.0 deg, d 1.496, intensity 20, hkl 2 4 4; 60.1 deg, d 1.540, intensity 19, hkl 2 6 2; 24.8 deg, d 3.585, intensity 19, hkl 2 0 0; 16.5 deg, d 5.372, intensity 18, hkl 1 0 1

No. 3
Starting from a structure optimized by DFT (GGA-PBE), the X-ray powder pattern of Mg7Si4 was calculated for Cu Kα (weighted mean of Kα1 and Kα2).
Peak positions follow from Bragg's law for the DFT cell and can differ from measured ones.

Crystal structure
```
data_Mg7Si4
_chemical_formula_sum 'Mg14 Si8'
_cell_length_a 3.325
_cell_length_b 9.509
_cell_length_c 14.037
_cell_angle_alpha 93.31
_cell_angle_beta 90.18
_cell_angle_gamma 90.22
_space_group_name_H-M_alt 'P 1'
_space_group_IT_number 1
loop_
_space_group_symop_operation_xyz
'x,y,z'
loop_
_atom_site_label
_atom_site_type_symbol
_atom_site_fract_x
_atom_site_fract_y
_atom_site_fract_z
Mg1 Mg 0.000 0.000 0.000
Mg2 Mg 0.000 0.162 0.515
Mg3 Mg 0.000 0.296 0.912
Mg4 Mg 0.002 0.206 0.293
Mg5 Mg 0.004 0.842 0.509
Mg6 Mg 0.005 0.585 0.133
Mg7 Mg 0.493 0.294 0.712
Mg8 Mg 0.497 0.716 0.664
Mg9 Mg 0.501 0.271 0.108
Mg10 Mg 0.501 0.919 0.180
Mg11 Mg 0.991 0.477 0.578
Mg12 Mg 0.993 0.739 0.314
Mg13 Mg 0.995 0.997 0.702
Mg14 Mg 0.998 0.582 0.823
Si1 Si 0.488 0.613 0.445
Si2 Si 0.490 0.359 0.432
Si3 Si 0.497 0.835 0.845
Si4 Si 0.498 0.087 0.851
Si5 Si 0.500 0.476 0.280
Si6 Si 0.500 0.757 0.003
Si7 Si 0.503 0.504 0.980
Si8 Si 0.531 0.991 0.378
```

Main lines, most intense first (2θ = 10–90°):
35.0 deg, d 2.567, intensity 100, hkl 1 2 -2; 39.2 deg, d 2.299, intensity 89, hkl 0 1 -6; 33.3 deg, d 2.690, intensity 87, hkl 1 2 -1; 35.2 deg, d 2.552, intensity 86, hkl 0 3 3; 55.3 deg, d 1.662, intensity 73, hkl 2 0 0; 41.7 deg, d 2.167, intensity 69, hkl 0 4 -3; 12.6 deg, d 7.007, intensity 69, hkl 0 0 2; 38.1 deg, d 2.360, intensity 62, hkl 1 1 -4; 34.8 deg, d 2.576, intensity 51, hkl 1 1 3; 39.5 deg, d 2.281, intensity 49, hkl 1 -3 1

No. 4
Starting from a structure optimized by DFT (GGA-PBE), the X-ray powder pattern of Hf7As4 was calculated for Cu Kα (weighted mean of Kα1 and Kα2).
Peak positions follow from Bragg's law for the DFT cell and can differ from measured ones.

Crystal structure
```
data_Hf7As4
_chemical_formula_sum 'Hf28 As16'
_cell_length_a 16.216
_cell_length_b 3.609
_cell_length_c 15.009
_cell_angle_alpha 90.00
_cell_angle_beta 104.25
_cell_angle_gamma 90.00
_space_group_name_H-M_alt 'C 1 2/m 1'
_space_group_IT_number 12
loop_
_space_group_symop_operation_xyz
'x,y,z'
'-x,-y,-z'
'-x,y,-z'
'x,-y,z'
'x+1/2,y+1/2,z'
'-x+1/2,-y+1/2,-z'
'-x+1/2,y+1/2,-z'
'x+1/2,-y+1/2,z'
loop_
_atom_site_label
_atom_site_type_symbol
_atom_site_fract_x
_atom_site_fract_y
_atom_site_fract_z
Hf1 Hf 0.000 0.000 0.000
Hf2 Hf 0.000 0.500 0.500
Hf3 Hf 0.002 0.000 0.666
Hf4 Hf 0.070 0.500 0.170
Hf5 Hf 0.163 0.500 0.969
Hf6 Hf 0.179 0.000 0.543
Hf7 Hf 0.197 0.000 0.309
Hf8 Hf 0.207 0.000 0.797
As1 As 0.063 0.000 0.850
As2 As 0.127 0.500 0.401
As3 As 0.129 0.500 0.662
As4 As 0.177 0.000 0.109
```

Main lines, most intense first (2θ = 10–90°):
37.6 deg, d 2.389, intensity 100, hkl 3 1 3; 36.5 deg, d 2.461, intensity 53, hkl 1 1 4; 38.0 deg, d 2.370, intensity 50, hkl 5 1 0; 34.5 deg, d 2.601, intensity 49, hkl 1 1 -4; 37.1 deg, d 2.426, intensity 48, hkl 6 0 -4; 33.1 deg, d 2.708, intensity 43, hkl 3 1 -3; 50.6 deg, d 1.804, intensity 39, hkl 0 2 0; 40.2 deg, d 2.241, intensity 28, hkl 3 1 -5; 31.6 deg, d 2.835, intensity 27, hkl 3 1 1; 34.2 deg, d 2.621, intensity 26, hkl 6 0 0

No. 5
Starting from a structure optimized by DFT (GGA-PBE), the X-ray powder pattern of NaSr5Bi4 was calculated for Cu Kα (weighted mean of Kα1 and Kα2).
Peak positions follow from Bragg's law for the DFT cell and can differ from measured ones.

Crystal structure
```
data_NaSr5Bi4
_chemical_formula_sum 'Na2 Sr10 Bi8'
_cell_length_a 4.528
_cell_length_b 10.958
_cell_length_c 16.292
_cell_angle_alpha 90.00
_cell_angle_beta 90.00
_cell_angle_gamma 90.00
_space_group_name_H-M_alt 'I m m m'
_space_group_IT_number 71
_space_group_name_Hall '-I 2 2'
loop_
_atom_site_label
_atom_site_type_symbol
_atom_site_fract_x
_atom_site_fract_y
_atom_site_fract_z
Na1 Na 0.000 0.000 0.000
Sr1 Sr 0.000 0.000 0.500
Sr2 Sr 0.000 0.296 0.351
Bi1 Bi 0.000 0.000 0.254
Bi2 Bi 0.000 0.272 0.000
```

Main lines, most intense first (2θ = 10–90°):
19.5 deg, d 4.546, intensity 100, hkl 0 2 2; 30.4 deg, d 2.936, intensity 96, hkl 1 2 3; 31.5 deg, d 2.843, intensity 81, hkl 1 3 0; 25.6 deg, d 3.478, intensity 74, hkl 1 0 3; 30.6 deg, d 2.919, intensity 57, hkl 1 1 4; 55.5 deg, d 1.657, intensity 53, hkl 2 2 6; 36.9 deg, d 2.433, intensity 49, hkl 0 2 6; 39.6 deg, d 2.275, intensity 45, hkl 0 4 4; 21.8 deg, d 4.073, intensity 44, hkl 0 0 4; 32.7 deg, d 2.739, intensity 41, hkl 0 4 0

No. 6
Starting from a structure optimized by DFT (GGA-PBE), the X-ray powder pattern of CaZrGa4 was calculated for Cu Kα (weighted mean of Kα1 and Kα2).
Peak positions follow from Bragg's law for the DFT cell and can differ from measured ones.

Crystal structure
```
data_CaZrGa4
_chemical_formula_sum 'Ca4 Zr4 Ga16'
_cell_length_a 7.666
_cell_length_b 7.666
_cell_length_c 7.666
_cell_angle_alpha 90.00
_cell_angle_beta 90.00
_cell_angle_gamma 90.00
_space_group_name_H-M_alt 'F -4 3 m'
_space_group_IT_number 216
_space_group_name_Hall 'F -4 2 3'
loop_
_atom_site_label
_atom_site_type_symbol
_atom_site_fract_x
_atom_site_fract_y
_atom_site_fract_z
Ca1 Ca 0.000 0.000 0.000
Zr1 Zr 0.250 0.250 0.750
Ga1 Ga 0.125 0.125 0.375
```

Main lines, most intense first (2θ = 10–90°):
39.0 deg, d 2.311, intensity 100, hkl 3 1 1; 40.8 deg, d 2.213, intensity 44, hkl 2 2 2; 63.0 deg, d 1.475, intensity 31, hkl 3 3 3; 69.3 deg, d 1.355, intensity 26, hkl 4 4 0; 33.1 deg, d 2.710, intensity 24, hkl 2 2 0; 83.7 deg, d 1.156, intensity 15, hkl 6 2 2; 20.1 deg, d 4.426, intensity 11, hkl 1 1 1; 82.5 deg, d 1.169, intensity 10, hkl 5 3 3; 59.0 deg, d 1.565, intensity 8, hkl 4 2 2; 47.4 deg, d 1.916, intensity 6, hkl 4 0 0